# 1
Diffraction record for Cs2Hg12Au7. The powder X-ray diffraction pattern is calculated, not measured: it uses a crystal structure in Alexandria, relaxed with PBE and copper Kα.
Intensities are scaled so that the largest is 100.

Most intense lines, 2θ from 10° to 80°, low angle first:
- 2θ = 30.05°, d 2.974, I 100, hkl 1 2 1
- 2θ = 32.61°, d 2.746, I 17, hkl 0 3 1
- 2θ = 37.26°, d 2.413, I 42, hkl 4 -3 1
- 2θ = 38.02°, d 2.367, I 28, hkl 0 0 2
- 2θ = 38.81°, d 2.320, I 20, hkl 2 3 0
- 2θ = 40.45°, d 2.230, I 21, hkl 4 0 1
- 2θ = 40.89°, d 2.207, I 23, hkl 4 1 0
- 2θ = 67.82°, d 1.382, I 19, hkl 3 5 1

Crystal structure
Cell lengths 11.6783, 11.6783, 4.7336 Å; angles 90.00, 90.00, 120.00 degrees
Atoms (fractional coordinates):
Cs: 0.3333 0.6667 0.2529
Cs: 0.6667 0.3333 0.7471
Hg: 0.0635 0.6225 0.7564
Hg: 0.1274 0.8723 0.2627
Hg: 0.1277 0.2552 0.2627
Hg: 0.2552 0.1274 0.7373
Hg: 0.3775 0.4411 0.7564
Hg: 0.4411 0.0635 0.2436
Hg: 0.5589 0.9365 0.7564
Hg: 0.6225 0.5589 0.2436
Hg: 0.7448 0.8726 0.2627
Hg: 0.8723 0.7448 0.7373
Hg: 0.8726 0.1277 0.7373
Hg: 0.9365 0.3775 0.2436
Au: 0.0000 0.0000 0.0000
Au: 0.1062 0.3976 0.7474
Au: 0.2914 0.8938 0.7474
Au: 0.3976 0.2914 0.2526
Au: 0.6024 0.7086 0.7474
Au: 0.7086 0.1062 0.2526
Au: 0.8938 0.6024 0.2526

# 2
Diffraction record for K12Rb2Na7. The powder X-ray diffraction pattern is calculated, not measured: it uses a crystal structure in Alexandria, relaxed with PBE and copper Kα.
Intensities are scaled so that the largest is 100.

Most intense lines, 2θ from 10° to 80°, low angle first:
- 2θ = 22.79°, d 3.902, I 11, hkl 4 0 0
- 2θ = 24.49°, d 3.635, I 100, hkl 2 1 1
- 2θ = 24.87°, d 3.581, I 11, hkl 3 2 0
- 2θ = 26.16°, d 3.406, I 49, hkl 1 4 0
- 2θ = 36.14°, d 2.485, I 15, hkl 4 2 1
- 2θ = 40.21°, d 2.243, I 10, hkl 4 3 1
- 2θ = 45.16°, d 2.008, I 10, hkl 5 3 1
- 2θ = 47.61°, d 1.910, I 19, hkl 1 4 2

Crystal structure
Cell lengths 18.0224, 18.0224, 4.6143 Å; angles 90.00, 90.00, 120.00 degrees
Atoms (fractional coordinates):
K: 0.0451 0.2604 0.0000
K: 0.1104 0.7030 0.5000
K: 0.2154 0.9549 0.0000
K: 0.2970 0.4075 0.5000
K: 0.4058 0.1841 0.5000
K: 0.5323 0.4350 0.0000
K: 0.5650 0.0974 0.0000
K: 0.5925 0.8896 0.5000
K: 0.7396 0.7846 0.0000
K: 0.7783 0.5942 0.5000
K: 0.8159 0.2217 0.5000
K: 0.9026 0.4677 0.0000
Rb: 0.0000 0.0000 0.5000
Rb: 0.3333 0.6667 0.0000
Na: 0.1005 0.4714 0.5000
Na: 0.2247 0.1902 0.0000
Na: 0.3708 0.8995 0.5000
Na: 0.5286 0.6292 0.5000
Na: 0.6667 0.3333 0.5000
Na: 0.8098 0.0345 0.0000
Na: 0.9655 0.7753 0.0000